No. 1
# La6Pr3Zn
Simulated powder X-ray diffraction pattern, CuKα. Input: a cell relaxed with GGA-PBE.

Structural model:
```
La6Pr3Zn
1.0
10.6363 0.0000 0.0000
0.0000 12.0492 0.0000
0.0000 0.0000 5.4980
La Pr Zn
12 6 2
direct
0.0740 0.2425 0.0000
0.1614 0.0721 0.5000
0.2248 0.3841 0.5000
0.2752 0.8841 0.0000
0.3386 0.5721 0.0000
0.4260 0.7425 0.5000
0.5740 0.2575 0.5000
0.6614 0.4279 0.0000
0.7248 0.1159 0.0000
0.7752 0.6159 0.5000
0.8386 0.9279 0.5000
0.9260 0.7575 0.0000
0.0000 0.5000 0.0000
0.1167 0.7103 0.5000
0.3833 0.2103 0.0000
0.5000 0.0000 0.5000
0.6167 0.7897 0.0000
0.8833 0.2897 0.5000
0.0000 0.0000 0.0000
0.5000 0.5000 0.5000
```

Largest 6 diffraction maxima, sorted by position, 10 to 90 degrees two-theta:
2theta  I_rel
27.5  30
28.8  100
30.0  61
30.9  68
32.6  63
34.2  29

No. 2
# LaPr6Zn
Simulated powder X-ray diffraction pattern, CuKα. Input: a cell relaxed with GGA-PBE.

Structural model:
```
LaPr6Zn
1.0
6.5182 0.0000 0.0000
-0.7237 6.4867 0.0000
-0.7442 -0.8146 6.4338
La Pr Zn
1 6 1
direct
0.0000 0.0000 0.0000
0.0751 0.5490 0.2664
0.2662 0.0760 0.5484
0.4518 0.7336 0.9238
0.5482 0.2664 0.0762
0.7338 0.9240 0.4516
0.9249 0.4510 0.7336
0.5000 0.5000 0.5000
```

Largest 6 diffraction maxima, sorted by position, 10 to 90 degrees two-theta:
2theta  I_rel
26.9  28
29.4  100
32.7  21
33.4  78
46.3  21
49.6  25

No. 3
# La2PrZn9
Simulated powder X-ray diffraction pattern, CuKα. Input: a cell relaxed with GGA-PBE.

Structural model:
```
La2PrZn9
1.0
2.7858 1.6084 8.8471
-2.7858 1.6084 8.8471
0.0000 -3.2167 8.8471
La Pr Zn
2 1 9
direct
0.1437 0.1437 0.1437
0.8563 0.8563 0.8563
0.0000 0.0000 0.0000
0.0772 0.5813 0.5813
0.3350 0.3350 0.3350
0.4187 0.4187 0.9228
0.4187 0.9228 0.4187
0.5000 0.5000 0.5000
0.5813 0.0772 0.5813
0.5813 0.5813 0.0772
0.6650 0.6650 0.6650
0.9228 0.4187 0.4187
```

Largest 6 diffraction maxima, sorted by position, 10 to 90 degrees two-theta:
2theta  I_rel
30.0  33
32.1  42
32.8  28
37.4  34
38.2  100
61.3  24

No. 4
# LaPr2Zn2
Simulated powder X-ray diffraction pattern, CuKα. Input: a cell relaxed with GGA-PBE.

Structural model:
```
LaPr2Zn2
1.0
3.7824 0.0000 0.0000
0.0000 5.3920 0.0000
-1.8970 0.0000 13.8223
La Pr Zn
2 4 4
direct
0.1420 0.2500 0.2824
0.8580 0.7500 0.7176
0.0464 0.7500 0.0937
0.2312 0.7500 0.4634
0.7688 0.2500 0.5366
0.9536 0.2500 0.9063
0.3600 0.2500 0.7206
0.4527 0.7500 0.9062
0.5473 0.2500 0.0938
0.6400 0.7500 0.2794
```

Largest 6 diffraction maxima, sorted by position, 10 to 90 degrees two-theta:
2theta  I_rel
25.4  13
32.4  14
33.2  100
47.1  10
59.3  14
59.7  8

No. 5
# La14PrZr
Simulated powder X-ray diffraction pattern, CuKα. Input: a cell relaxed with GGA-PBE.

Structural model:
```
La14PrZr
1.0
10.4339 0.0000 0.0000
0.0000 5.1985 5.1928
0.0000 -5.1985 5.1928
La Pr Zr
14 1 1
direct
0.0000 0.9998 0.9998
0.0000 0.9995 0.5005
0.0000 0.5005 0.9995
0.0000 0.5000 0.5000
0.2572 0.2402 0.2402
0.2578 0.2401 0.7600
0.2578 0.7600 0.2401
0.2584 0.7599 0.7599
0.5000 0.0006 0.4996
0.5000 0.4996 0.0006
0.7422 0.2401 0.7600
0.7422 0.7600 0.2401
0.7416 0.7599 0.7599
0.7428 0.2402 0.2402
0.5000 0.4998 0.4998
0.5000 0.0004 0.0004
```

Largest 6 diffraction maxima, sorted by position, 10 to 90 degrees two-theta:
2theta  I_rel
29.7  100
34.4  17
34.5  34
49.5  24
58.7  14
58.9  28

No. 6
# La2Pt7
Simulated powder X-ray diffraction pattern, CuKα. Input: a cell relaxed with GGA-PBE.

Structural model:
```
La2Pt7
1.0
2.7455 1.5851 13.4264
-2.7455 1.5851 13.4264
0.0000 -3.1702 13.4264
La Pt
4 14
direct
0.0499 0.0499 0.0499
0.1473 0.1473 0.1473
0.8527 0.8527 0.8527
0.9501 0.9501 0.9501
0.0000 0.5000 0.5000
0.1078 0.6126 0.6126
0.2778 0.2778 0.2778
0.3874 0.3874 0.8922
0.3874 0.8922 0.3874
0.3884 0.3884 0.3884
0.5000 0.0000 0.5000
0.5000 0.5000 0.0000
0.5000 0.5000 0.5000
0.6116 0.6116 0.6116
0.6126 0.1078 0.6126
0.6126 0.6126 0.1078
0.7222 0.7222 0.7222
0.8922 0.3874 0.3874
```

Largest 6 diffraction maxima, sorted by position, 10 to 90 degrees two-theta:
2theta  I_rel
18.8  29
37.9  25
38.5  100
40.3  30
42.0  39
68.3  27

No. 7
# La3Pt2
Simulated powder X-ray diffraction pattern, CuKα. Input: a cell relaxed with GGA-PBE.

Structural model:
```
La3Pt2
1.0
11.7726 0.0000 0.0000
0.0000 4.1105 0.0000
0.0000 0.0000 11.8911
La Pt
12 8
direct
0.0593 0.2500 0.1343
0.1208 0.7500 0.5634
0.2205 0.2500 0.8128
0.2795 0.7500 0.3128
0.3792 0.2500 0.0634
0.4407 0.7500 0.6343
0.5593 0.2500 0.3657
0.6208 0.7500 0.9366
0.7205 0.2500 0.6872
0.7795 0.7500 0.1872
0.8792 0.2500 0.4366
0.9407 0.7500 0.8657
0.0114 0.7500 0.3180
0.1786 0.7500 0.9917
0.3214 0.2500 0.4917
0.4886 0.2500 0.8180
0.5114 0.7500 0.1820
0.6786 0.7500 0.5083
0.8214 0.2500 0.0083
0.9886 0.2500 0.6820
```

Largest 6 diffraction maxima, sorted by position, 10 to 90 degrees two-theta:
2theta  I_rel
30.5  87
31.3  96
32.3  100
35.0  74
38.4  60
44.1  77

No. 8
# La7Pt6
Simulated powder X-ray diffraction pattern, CuKα. Input: a cell relaxed with GGA-PBE.

Structural model:
```
La7Pt6
1.0
3.6329 2.0975 8.0411
-3.6329 2.0975 8.0411
0.0000 -4.1949 8.0411
La Pt
7 6
direct
0.0000 0.0000 0.0000
0.0940 0.0940 0.5643
0.0940 0.5643 0.0940
0.4357 0.9060 0.9060
0.5643 0.0940 0.0940
0.9060 0.4357 0.9060
0.9060 0.9060 0.4357
0.1619 0.1619 0.1619
0.3384 0.3384 0.3384
0.4470 0.4470 0.4470
0.5530 0.5530 0.5530
0.6616 0.6616 0.6616
0.8381 0.8381 0.8381
```

Largest 6 diffraction maxima, sorted by position, 10 to 90 degrees two-theta:
2theta  I_rel
24.5  100
28.6  56
33.2  88
34.0  33
38.8  34
50.2  60

No. 9
# La3Pt2
Simulated powder X-ray diffraction pattern, CuKα. Input: a cell relaxed with GGA-PBE.

Structural model:
```
La3Pt2
1.0
4.5755 2.6417 5.7927
-4.5755 2.6417 5.7927
0.0000 -5.2834 5.7927
La Pt
9 6
direct
0.0000 0.0000 0.0000
0.1618 0.3943 0.6689
0.1999 0.1999 0.1999
0.3311 0.8382 0.6057
0.3943 0.6689 0.1618
0.6057 0.3311 0.8382
0.6689 0.1618 0.3943
0.8001 0.8001 0.8001
0.8382 0.6057 0.3311
0.0434 0.8320 0.4108
0.1680 0.5892 0.9566
0.4108 0.0434 0.8320
0.5892 0.9566 0.1680
0.8320 0.4108 0.0434
0.9566 0.1680 0.5892
```

Largest 6 diffraction maxima, sorted by position, 10 to 90 degrees two-theta:
2theta  I_rel
30.3  41
30.9  46
31.6  100
33.9  82
36.4  70
36.7  82

No. 10
# La7Pt5
Simulated powder X-ray diffraction pattern, CuKα. Input: a cell relaxed with GGA-PBE.

Structural model:
```
La7Pt5
1.0
7.0034 -2.0698 0.0000
7.0034 2.0698 0.0000
-3.1179 0.0000 12.3362
La Pt
7 5
direct
0.0000 0.0000 0.0000
0.1552 0.1552 0.5513
0.2412 0.2412 0.8585
0.4589 0.4589 0.7164
0.5411 0.5411 0.2836
0.7588 0.7588 0.1415
0.8448 0.8448 0.4487
0.1971 0.1971 0.3181
0.3830 0.3830 0.0757
0.5000 0.5000 0.5000
0.6170 0.6170 0.9243
0.8029 0.8029 0.6819
```

Largest 6 diffraction maxima, sorted by position, 10 to 90 degrees two-theta:
2theta  I_rel
21.7  57
22.4  62
28.9  83
30.4  100
31.3  80
43.7  62

No. 11
# LaPt2
Simulated powder X-ray diffraction pattern, CuKα. Input: a cell relaxed with GGA-PBE.

Structural model:
```
LaPt2
1.0
2.1900 -5.0660 0.0000
2.1900 5.0660 0.0000
0.0000 0.0000 5.8081
La Pt
2 4
direct
0.1906 0.8094 0.7500
0.8094 0.1906 0.2500
0.0981 0.9019 0.2500
0.5000 0.5000 0.0000
0.5000 0.5000 0.5000
0.9019 0.0981 0.7500
```

Largest 6 diffraction maxima, sorted by position, 10 to 90 degrees two-theta:
2theta  I_rel
17.5  26
33.5  61
35.6  20
37.0  41
38.2  100
41.2  35

No. 12
# La3Pt
Simulated powder X-ray diffraction pattern, CuKα. Input: a cell relaxed with GGA-PBE.

Structural model:
```
La3Pt
1.0
4.5106 0.0000 0.0000
0.0000 4.2714 0.0000
-1.7558 0.0000 6.5484
La Pt
3 1
direct
0.0000 0.0000 0.0000
0.3933 0.5000 0.7059
0.6067 0.5000 0.2941
0.0000 0.0000 0.5000
```

Largest 6 diffraction maxima, sorted by position, 10 to 90 degrees two-theta:
2theta  I_rel
29.3  100
29.6  60
34.5  69
42.3  23
48.7  23
52.5  24

Number 2 is which compound?
LaPr6Zn